Er2Sc2Ir3: computed X-ray diffraction stick pattern (copper Kα), based on a crystal structure in Alexandria, relaxed with GGA-PBE.

Peak list (8 most intense, 2θ from 10° to 80°, in order of rising 2θ)
22.6°, d = 3.932 Å, I = 49; 35.1°, d = 2.559 Å, I = 23; 38.2°, d = 2.355 Å, I = 100; 39.1°, d = 2.303 Å, I = 95; 55.8°, d = 1.647 Å, I = 33; 68.5°, d = 1.370 Å, I = 17; 70.3°, d = 1.339 Å, I = 33; 70.9°, d = 1.330 Å, I = 17

Atomic structure:
```
Er2Sc2Ir3
1.0
2.3029 1.3296 7.7826
-2.3029 1.3296 7.7826
0.0000 -2.6592 7.7826
Er Sc Ir
2 2 3
direct
0.1241 0.1241 0.1241 Er
0.8759 0.8759 0.8759 Er
0.3740 0.3740 0.3740 Sc
0.6260 0.6260 0.6260 Sc
0.0000 0.0000 0.0000 Ir
0.2542 0.2542 0.2542 Ir
0.7458 0.7458 0.7458 Ir
```


ErSc3Ir: computed X-ray diffraction stick pattern (copper Kα), based on a crystal structure in Alexandria, relaxed with GGA-PBE.

Peak list (8 most intense, 2θ from 10° to 80°, in order of rising 2θ)
14.2°, d = 6.241 Å, I = 38; 18.3°, d = 4.849 Å, I = 27; 23.1°, d = 3.851 Å, I = 60; 26.1°, d = 3.418 Å, I = 49; 33.1°, d = 2.710 Å, I = 50; 36.2°, d = 2.480 Å, I = 100; 37.3°, d = 2.410 Å, I = 38; 49.8°, d = 1.832 Å, I = 45

Atomic structure:
```
ErSc3Ir
1.0
4.8193 0.0000 0.0000
0.0000 7.7022 0.0000
0.0000 0.0000 6.2410
Er Sc Ir
2 6 2
direct
0.2500 0.2500 0.2145 Er
0.7500 0.7500 0.7855 Er
0.2500 0.0551 0.6827 Sc
0.2500 0.4449 0.6827 Sc
0.2500 0.7500 0.0869 Sc
0.7500 0.2500 0.9131 Sc
0.7500 0.5551 0.3173 Sc
0.7500 0.9449 0.3173 Sc
0.2500 0.7500 0.5091 Ir
0.7500 0.2500 0.4909 Ir
```


ErSc2Ir: computed X-ray diffraction stick pattern (copper Kα), based on a crystal structure in Alexandria, relaxed with GGA-PBE.

Peak list (8 most intense, 2θ from 10° to 80°, in order of rising 2θ)
20.9°, d = 4.247 Å, I = 59; 32.7°, d = 2.742 Å, I = 36; 33.2°, d = 2.699 Å, I = 18; 35.1°, d = 2.556 Å, I = 100; 38.1°, d = 2.365 Å, I = 17; 40.6°, d = 2.223 Å, I = 18; 46.7°, d = 1.946 Å, I = 34; 65.0°, d = 1.435 Å, I = 19

Atomic structure:
```
ErSc2Ir
1.0
3.7840 0.0000 0.0000
0.0000 11.3858 0.0000
0.0000 0.0000 8.4946
Er Sc Ir
4 8 4
direct
0.0000 0.0652 0.2500 Er
0.0000 0.9348 0.7500 Er
0.5000 0.4348 0.7500 Er
0.5000 0.5652 0.2500 Er
0.0000 0.3559 0.0637 Sc
0.0000 0.3559 0.4363 Sc
0.0000 0.6441 0.5637 Sc
0.0000 0.6441 0.9363 Sc
0.5000 0.1441 0.5637 Sc
0.5000 0.1441 0.9363 Sc
0.5000 0.8559 0.0637 Sc
0.5000 0.8559 0.4363 Sc
0.0000 0.2466 0.7500 Ir
0.0000 0.7534 0.2500 Ir
0.5000 0.2534 0.2500 Ir
0.5000 0.7466 0.7500 Ir
```


ErScTlIr: computed X-ray diffraction stick pattern (copper Kα), based on a crystal structure in Alexandria, relaxed with GGA-PBE.

Peak list (8 most intense, 2θ from 10° to 80°, in order of rising 2θ)
10.9°, d = 8.151 Å, I = 11; 21.8°, d = 4.075 Å, I = 11; 29.4°, d = 3.036 Å, I = 13; 35.2°, d = 2.551 Å, I = 100; 38.9°, d = 2.313 Å, I = 42; 56.2°, d = 1.635 Å, I = 15; 60.6°, d = 1.529 Å, I = 15; 68.1°, d = 1.377 Å, I = 30

Atomic structure:
```
ErScTlIr
1.0
3.2709 0.0000 0.0000
0.0000 3.2709 0.0000
0.0000 0.0000 8.1508
Er Sc Tl Ir
1 1 1 1
direct
0.0000 0.0000 0.0000 Er
0.0000 0.0000 0.5872 Sc
0.5000 0.5000 0.3049 Tl
0.5000 0.5000 0.7782 Ir
```


ErSi4Ir4: computed X-ray diffraction stick pattern (copper Kα), based on a crystal structure in Alexandria, relaxed with GGA-PBE.

Peak list (8 most intense, 2θ from 10° to 80°, in order of rising 2θ)
14.8°, d = 5.991 Å, I = 57; 22.9°, d = 3.891 Å, I = 53; 31.2°, d = 2.866 Å, I = 97; 33.4°, d = 2.679 Å, I = 96; 37.9°, d = 2.374 Å, I = 57; 41.2°, d = 2.190 Å, I = 44; 43.7°, d = 2.071 Å, I = 100; 54.1°, d = 1.696 Å, I = 50

Atomic structure:
```
ErSi4Ir4
1.0
-4.2363 4.2363 2.1904
4.2363 -4.2363 2.1904
4.2363 4.2363 -2.1904
Er Si Ir
1 4 4
direct
0.0000 0.0000 0.0000 Er
0.1974 0.3180 0.5154 Si
0.3180 0.8026 0.1206 Si
0.6820 0.1974 0.8794 Si
0.8026 0.6820 0.4846 Si
0.0838 0.6494 0.7333 Ir
0.3506 0.0838 0.4344 Ir
0.6494 0.9162 0.5656 Ir
0.9162 0.3506 0.2667 Ir
```


Er3Si8Ir3: computed X-ray diffraction stick pattern (copper Kα), based on a crystal structure in Alexandria, relaxed with GGA-PBE.

Peak list (8 most intense, 2θ from 10° to 80°, in order of rising 2θ)
21.0°, d = 4.237 Å, I = 28; 29.4°, d = 3.036 Å, I = 100; 30.9°, d = 2.890 Å, I = 60; 35.1°, d = 2.557 Å, I = 43; 35.9°, d = 2.500 Å, I = 56; 38.4°, d = 2.342 Å, I = 31; 43.2°, d = 2.096 Å, I = 42; 56.8°, d = 1.621 Å, I = 30

Atomic structure:
```
Er3Si8Ir3
1.0
7.7145 -2.0959 0.0000
7.7145 2.0959 0.0000
-4.3812 0.0000 7.2602
Er Si Ir
3 8 3
direct
0.0000 0.0000 0.0000 Er
0.2886 0.2886 0.3231 Er
0.7114 0.7114 0.6769 Er
0.1195 0.1195 0.3963 Si
0.1632 0.1632 0.8818 Si
0.3645 0.3645 0.7262 Si
0.4831 0.4831 0.3030 Si
0.5169 0.5169 0.6970 Si
0.6355 0.6355 0.2738 Si
0.8368 0.8368 0.1182 Si
0.8805 0.8805 0.6037 Si
0.0000 0.0000 0.5000 Ir
0.3451 0.3451 0.9854 Ir
0.6549 0.6549 0.0146 Ir
```


Er3Si4Ir: computed X-ray diffraction stick pattern (copper Kα), based on a crystal structure in Alexandria, relaxed with GGA-PBE.

Peak list (8 most intense, 2θ from 10° to 80°, in order of rising 2θ)
29.2°, d = 3.057 Å, I = 100; 32.0°, d = 2.795 Å, I = 19; 36.5°, d = 2.459 Å, I = 18; 40.9°, d = 2.204 Å, I = 14; 42.6°, d = 2.121 Å, I = 16; 43.1°, d = 2.097 Å, I = 14; 55.4°, d = 1.660 Å, I = 17; 58.3°, d = 1.583 Å, I = 17

Atomic structure:
```
Er3Si4Ir
1.0
4.2419 0.0000 0.0000
0.0000 5.5903 0.0000
0.0000 0.0000 14.3380
Er Si Ir
6 8 2
direct
0.0000 0.0000 0.0000 Er
0.0000 0.5000 0.1927 Er
0.0000 0.5000 0.8073 Er
0.5000 0.0000 0.3073 Er
0.5000 0.0000 0.6927 Er
0.5000 0.5000 0.5000 Er
0.0000 0.2923 0.3785 Si
0.0000 0.2923 0.6215 Si
0.0000 0.7077 0.3785 Si
0.0000 0.7077 0.6215 Si
0.5000 0.2077 0.1215 Si
0.5000 0.2077 0.8785 Si
0.5000 0.7923 0.1215 Si
0.5000 0.7923 0.8785 Si
0.0000 0.0000 0.5000 Ir
0.5000 0.5000 0.0000 Ir
```


Er2Si3Ir5: computed X-ray diffraction stick pattern (copper Kα), based on a crystal structure in Alexandria, relaxed with GGA-PBE.

Peak list (8 most intense, 2θ from 10° to 80°, in order of rising 2θ)
35.1°, d = 2.557 Å, I = 32; 36.7°, d = 2.446 Å, I = 100; 37.1°, d = 2.425 Å, I = 64; 40.3°, d = 2.236 Å, I = 26; 40.8°, d = 2.214 Å, I = 41; 43.7°, d = 2.073 Å, I = 32; 44.5°, d = 2.034 Å, I = 47; 70.8°, d = 1.331 Å, I = 32

Atomic structure:
```
Er2Si3Ir5
1.0
2.0343 -11.8746 0.0000
2.0343 11.8746 0.0000
0.0000 0.0000 6.6382
Er Si Ir
4 6 10
direct
0.0225 0.9775 0.5000 Er
0.3247 0.6753 0.4837 Er
0.6753 0.3247 0.9837 Er
0.9775 0.0225 0.0000 Er
0.1105 0.8895 0.7730 Si
0.2675 0.7325 0.9719 Si
0.4546 0.5454 0.7042 Si
0.5454 0.4546 0.2042 Si
0.7325 0.2675 0.4719 Si
0.8895 0.1105 0.2730 Si
0.0984 0.9016 0.1519 Ir
0.2062 0.7938 0.6746 Ir
0.2089 0.7911 0.2686 Ir
0.3686 0.6314 0.9548 Ir
0.4436 0.5564 0.3371 Ir
0.5564 0.4436 0.8371 Ir
0.6314 0.3686 0.4548 Ir
0.7911 0.2089 0.7686 Ir
0.7938 0.2062 0.1746 Ir
0.9016 0.0984 0.6519 Ir
```


- Which formula does entry 5 have?
  ErSi4Ir4


- What is the formula in the sixth record?
  Er3Si8Ir3